Record 1
This entry pairs a crystal structure of LiCo2P2O8 with its calculated X-ray diffraction stick pattern. Radiation: Cu Kα, 1.54184 Å. Structure: a cell relaxed with PBE+U.
Neutral-atom scattering factors, no anomalous dispersion.

Atomic structure:
```
data_LiCo2P2O8
_cell_length_a 5.2657
_cell_length_b 7.9234
_cell_length_c 8.7748
_cell_angle_alpha 87.63
_cell_angle_beta 86.99
_cell_angle_gamma 79.52
_symmetry_space_group_name_H-M 'P 1'
_symmetry_Int_Tables_number 1
_symmetry_space_group_name_Hall 'P 1'
loop_
_atom_site_label
_atom_site_type_symbol
_atom_site_fract_x
_atom_site_fract_y
_atom_site_fract_z
_atom_site_occupancy
Li1 Li 0.0000 0.0000 0.0000 1
Li2 Li 0.2932 0.4222 0.4166 1
Co1 Co 0.3583 0.1768 0.7338 1
Co2 Co 0.4228 0.6558 0.0849 1
Co3 Co 0.7989 0.2963 0.2015 1
Co4 Co 0.8738 0.7845 0.5467 1
P1 P 0.3537 0.7698 0.7464 1
P2 P 0.3548 0.2567 0.0799 1
P3 P 0.8795 0.6868 0.2146 1
P4 P 0.8811 0.1872 0.5412 1
O1 O 0.0590 0.7792 0.1104 1
O2 O 0.1062 0.7081 0.6958 1
O3 O 0.1382 0.2547 0.5547 1
O4 O 0.1530 0.1617 0.1653 1
O5 O 0.2696 0.9526 0.8115 1
O6 O 0.2731 0.3079 0.9189 1
O7 O 0.3917 0.4129 0.1786 1
O8 O 0.4885 0.6435 0.8653 1
O9 O 0.5323 0.7779 0.5991 1
O10 O 0.6017 0.7852 0.2239 1
O11 O 0.6396 0.1483 0.0830 1
O12 O 0.7167 0.3010 0.4160 1
O13 O 0.7208 0.1977 0.6925 1
O14 O 0.8637 0.5114 0.1390 1
O15 O 0.9406 0.0006 0.4829 1
O16 O 0.9954 0.6414 0.3754 1
```

Principal peaks in the range 2θ = 10–80°, by intensity:
- 2θ = 20.31°, 4.372 Å, intensity 100, (1 0 -1)
- 2θ = 22.84°, 3.894 Å, intensity 71, (0 2 0)
- 2θ = 15.47°, 5.728 Å, intensity 28, (0 1 -1)
- 2θ = 19.53°, 4.546 Å, intensity 24, (1 0 1)
- 2θ = 14.98°, 5.915 Å, intensity 23, (0 1 1)
- 2θ = 34.56°, 2.595 Å, intensity 17, (1 0 3)
- 2θ = 28.58°, 3.123 Å, intensity 16, (1 2 -1)
- 2θ = 39.67°, 2.272 Å, intensity 15, (2 -1 1)
- 2θ = 30.61°, 2.920 Å, intensity 15, (0 0 3)
- 2θ = 34.69°, 2.586 Å, intensity 14, (2 0 0)
- 2θ = 27.43°, 3.252 Å, intensity 13, (1 2 1)
- 2θ = 39.38°, 2.288 Å, intensity 11, (1 2 3)

Record 2
This entry pairs a crystal structure of LiCoP2O7 with its calculated X-ray diffraction stick pattern. Radiation: Cu Kα, 1.54184 Å. Structure: a cell relaxed with PBE+U.
Neutral-atom scattering factors, no anomalous dispersion.

Atomic structure:
```
data_LiCoP2O7
_cell_length_a 6.9767
_cell_length_b 8.3327
_cell_length_c 9.1973
_cell_angle_alpha 90.00
_cell_angle_beta 111.59
_cell_angle_gamma 90.00
_symmetry_space_group_name_H-M 'P 1 21/c 1'
_symmetry_Int_Tables_number 14
_symmetry_space_group_name_Hall '-P 2ybc'
loop_
_atom_site_label
_atom_site_type_symbol
_atom_site_fract_x
_atom_site_fract_y
_atom_site_fract_z
_atom_site_occupancy
Li1 Li 0.2066 0.0748 0.0971 1
Co1 Co 0.3067 0.0651 0.6885 1
P1 P 0.0691 0.7381 0.7433 1
P2 P 0.4783 0.7177 0.0328 1
O1 O 0.0530 0.6131 0.6220 1
O2 O 0.1186 0.2481 0.7093 1
O3 O 0.1254 0.5926 0.1977 1
O4 O 0.2543 0.6911 0.9058 1
O5 O 0.3649 0.2176 0.5505 1
O6 O 0.4826 0.6161 0.6098 1
O7 O 0.4908 0.0827 0.3482 1
```

Principal peaks in the range 2θ = 10–80°, by intensity:
- 2θ = 29.56°, 3.022 Å, intensity 100, (1 2 -2)
- 2θ = 22.69°, 3.919 Å, intensity 66, (1 1 1)
- 2θ = 29.78°, 3.000 Å, intensity 59, (2 1 -2)
- 2θ = 28.93°, 3.086 Å, intensity 58, (1 0 2)
- 2θ = 35.09°, 2.557 Å, intensity 30, (2 2 0)
- 2θ = 23.76°, 3.746 Å, intensity 26, (0 2 1)
- 2θ = 20.77°, 4.276 Å, intensity 26, (0 0 2)
- 2θ = 14.84°, 5.968 Å, intensity 25, (0 1 1)
- 2θ = 27.73°, 3.217 Å, intensity 21, (2 1 -1)
- 2θ = 43.03°, 2.102 Å, intensity 19, (2 3 -2)
- 2θ = 58.61°, 1.575 Å, intensity 18, (3 3 -4)
- 2θ = 17.41°, 5.092 Å, intensity 18, (1 1 -1)